# 1
Diffraction record for Ho3Tl2Te6. The PXRD pattern is theoretical, not measured: it uses a crystal structure in Alexandria, relaxed with GGA-PBE and a wavelength of 1.5418 Å.
Peak positions follow from Bragg's law for the DFT cell and can differ from measured ones.

Largest 10 diffraction maxima, most intense first, 2θ from 10° to 90°:
2θ (°)	d [Å]	intensity
27.72	3.219	100
37.80	2.380	39
41.33	2.185	36
50.49	1.808	19
67.23	1.393	16
62.25	1.491	15
73.02	1.296	11
57.27	1.609	8
10.84	8.164	8
44.39	2.041	7

Cell and atoms:
Unit cell a=7.566 b=7.566 c=8.548 alpha=98.53 beta=98.53 gamma=119.97
Fractional positions:
1 Ho 0.000 0.000 0.000
2 Ho 0.332 0.668 0.000
3 Ho 0.668 0.332 0.000
4 Tl 0.166 0.834 0.500
5 Tl 0.834 0.166 0.500
6 Te 0.073 0.406 0.216
7 Te 0.262 0.262 0.787
8 Te 0.406 0.073 0.216
9 Te 0.594 0.927 0.784
10 Te 0.738 0.738 0.213
11 Te 0.927 0.594 0.784

***

# 2
Diffraction record for Ho5TlTe2. The PXRD pattern is theoretical, not measured: it uses a crystal structure in Alexandria, relaxed with GGA-PBE and a wavelength of 1.5418 Å.
Peak positions follow from Bragg's law for the DFT cell and can differ from measured ones.

Largest 10 diffraction maxima, most intense first, 2θ from 10° to 90°:
2θ (°)	d [Å]	intensity
33.13	2.704	100
29.66	3.011	66
31.27	2.861	44
54.88	1.673	25
24.55	3.626	19
50.68	1.801	16
29.86	2.992	16
40.12	2.248	15
40.23	2.242	15
42.60	2.122	12

Cell and atoms:
Unit cell a=6.836 b=6.836 c=13.486 alpha=90.00 beta=90.00 gamma=127.72
Fractional positions:
1 Ho 0.060 0.940 0.612
2 Ho 0.060 0.940 0.888
3 Ho 0.382 0.618 0.553
4 Ho 0.382 0.618 0.947
5 Ho 0.384 0.616 0.250
6 Ho 0.616 0.384 0.750
7 Ho 0.618 0.382 0.053
8 Ho 0.618 0.382 0.447
9 Ho 0.940 0.060 0.112
10 Ho 0.940 0.060 0.388
11 Tl 0.266 0.734 0.750
12 Tl 0.734 0.266 0.250
13 Te 0.189 0.811 0.093
14 Te 0.189 0.811 0.407
15 Te 0.811 0.189 0.593
16 Te 0.811 0.189 0.907